Computed powder diffraction line list
Compound: Th4Tl3
Radiation: Cu Kα
Structure: a crystal structure in Alexandria, relaxed with GGA-PBE
Kinematic intensities with the Lorentz-polarization factor, no thermal factor.

Structure:
abc: 8.7124 8.7124 8.2280
angles: 117.20 117.20 23.15
Sites, in units of the cell vectors:
Th 0.0669 0.0669 0.3989
Th 0.3430 0.3430 0.1587
Th 0.6570 0.6570 0.8413
Th 0.9331 0.9331 0.6011
Tl 0.2879 0.2879 0.7012
Tl 0.5000 0.5000 0.0000
Tl 0.7121 0.7121 0.2988

Largest 6 diffraction maxima, sorted by position, 10° ≤ 2θ ≤ 90°:
| d [Å] | 2θ/deg | I/Imax |
| --- | --- | --- |
| 2.968 | 30.1 | 52 |
| 2.819 | 31.7 | 95 |
| 2.806 | 31.9 | 100 |
| 2.690 | 33.3 | 76 |
| 2.619 | 34.2 | 89 |
| 1.485 | 62.6 | 59 |



Computed powder diffraction line list
Compound: Tm5ThTl6
Radiation: Cu Kα
Structure: a crystal structure in Alexandria, relaxed with GGA-PBE
Kinematic intensities with the Lorentz-polarization factor, no thermal factor.

Structure:
abc: 5.3795 7.4617 8.5006
angles: 90.00 107.74 90.00
Sites, in units of the cell vectors:
Tm 0.0000 0.0000 0.0000
Tm 0.3353 0.5000 0.6707
Tm 0.3362 0.0000 0.6730
Tm 0.6638 0.0000 0.3270
Tm 0.6647 0.5000 0.3293
Th 0.0000 0.5000 0.0000
Tl 0.1717 0.2447 0.3432
Tl 0.1717 0.7553 0.3432
Tl 0.5000 0.2394 0.0000
Tl 0.5000 0.7606 0.0000
Tl 0.8283 0.2447 0.6568
Tl 0.8283 0.7553 0.6568

Largest 6 diffraction maxima, sorted by position, 10° ≤ 2θ ≤ 90°:
| d [Å] | 2θ/deg | I/Imax |
| --- | --- | --- |
| 2.699 | 33.2 | 51 |
| 2.690 | 33.3 | 51 |
| 2.674 | 33.5 | 100 |
| 2.658 | 33.7 | 98 |
| 1.553 | 59.5 | 20 |
| 1.534 | 60.4 | 37 |